Record 1
# ZnAs4Ru
Computed powder X-ray diffraction pattern, λ = 1.5418 Å (Cu Kα). Input: a structure optimized by DFT (GGA-PBE).

Structural model:
a = 5.436 Å, b = 5.436 Å, c = 5.436 Å
α = 60.00°, β = 60.00°, γ = 60.00°
Atoms (fractional coordinates):
Zn1 0.000 0.000 0.000
As1 0.124 0.625 0.625
As2 0.625 0.124 0.625
As3 0.625 0.625 0.124
As4 0.625 0.625 0.625
Ru1 0.250 0.250 0.250

The 10 most intense peaks (10° ≤ 2θ ≤ 90°), by angle:
| 2θ (°) | I (rel.) |
| --- | --- |
| 20.0 | 4 |
| 33.0 | 31 |
| 38.9 | 100 |
| 40.7 | 36 |
| 58.8 | 11 |
| 62.8 | 31 |
| 69.1 | 27 |
| 78.7 | 5 |
| 82.2 | 11 |
| 83.4 | 13 |


Record 2
# AsS5
Computed powder X-ray diffraction pattern, λ = 1.5418 Å (Cu Kα). Input: a structure optimized by DFT (GGA-PBE).

Structural model:
a = 4.703 Å, b = 6.093 Å, c = 7.051 Å
α = 104.81°, β = 106.08°, γ = 104.16°
Atoms (fractional coordinates):
As1 0.000 0.000 0.000
S1 0.178 0.588 0.689
S2 0.373 0.916 0.698
S3 0.546 0.199 0.247
S4 0.770 0.957 0.248
S5 0.965 0.609 0.919

The 10 most intense peaks (10° ≤ 2θ ≤ 90°), by angle:
| 2θ (°) | I (rel.) |
| --- | --- |
| 13.9 | 60 |
| 16.0 | 62 |
| 17.2 | 100 |
| 20.9 | 17 |
| 24.7 | 19 |
| 26.9 | 27 |
| 28.3 | 45 |
| 29.2 | 59 |
| 32.0 | 17 |
| 32.3 | 16 |


Record 3
# As4S3
Computed powder X-ray diffraction pattern, λ = 1.5418 Å (Cu Kα). Input: a structure optimized by DFT (GGA-PBE).

Structural model:
a = 9.712 Å, b = 8.963 Å, c = 10.893 Å
α = 90.00°, β = 90.00°, γ = 90.00°
Atoms (fractional coordinates):
As1 0.008 0.250 0.078
As2 0.155 0.609 0.784
As3 0.155 0.891 0.784
As4 0.166 0.250 0.549
As5 0.334 0.750 0.049
As6 0.345 0.109 0.284
As7 0.345 0.391 0.284
As8 0.492 0.750 0.578
As9 0.508 0.250 0.422
As10 0.655 0.609 0.716
As11 0.655 0.891 0.716
As12 0.666 0.250 0.951
As13 0.834 0.750 0.451
As14 0.845 0.109 0.216
As15 0.845 0.391 0.216
As16 0.992 0.750 0.922
S1 0.107 0.750 0.099
S2 0.171 0.060 0.412
S3 0.171 0.440 0.412
S4 0.329 0.560 0.912
S5 0.329 0.940 0.912
S6 0.393 0.250 0.599
S7 0.607 0.750 0.401
S8 0.671 0.060 0.088
S9 0.671 0.440 0.088
S10 0.829 0.560 0.588
S11 0.829 0.940 0.588
S12 0.893 0.250 0.901

The 10 most intense peaks (10° ≤ 2θ ≤ 90°), by angle:
| 2θ (°) | I (rel.) |
| --- | --- |
| 12.8 | 61 |
| 15.7 | 100 |
| 20.0 | 24 |
| 21.2 | 19 |
| 26.5 | 48 |
| 27.4 | 25 |
| 28.8 | 21 |
| 31.0 | 21 |
| 46.1 | 29 |
| 49.0 | 21 |